# 1
Diffraction record for LiCo2O4. The X-ray powder pattern is calculated, not measured: it uses the GGA+U geometry in the Materials Project and copper Kα.
Kinematic intensities with the Lorentz-polarization factor, no thermal factor.

Structure:
```
data_LiCo2O4
_space_group_name_H-M_alt 'P 1'
_space_group_IT_number 1
_space_group_name_Hall 'P 1'
_cell_length_a 8.0577
_cell_length_b 8.0659
_cell_length_c 8.0678
_cell_angle_alpha 90.06
_cell_angle_beta 90.02
_cell_angle_gamma 90.03
loop_
_atom_site_label
_atom_site_type_symbol
_atom_site_fract_x
_atom_site_fract_y
_atom_site_fract_z
_atom_site_occupancy
Li1 Li 0.0000 0.0000 0.0000 1
Li2 Li 0.0003 0.4987 0.5009 1
Li3 Li 0.2467 0.2515 0.7538 1
Li4 Li 0.2474 0.7452 0.2536 1
Li5 Li 0.4960 0.9992 0.5029 1
Li6 Li 0.4973 0.4995 0.9995 1
Li7 Li 0.7472 0.7463 0.7524 1
Li8 Li 0.7488 0.2530 0.2526 1
Co1 Co 0.1230 0.1237 0.3764 1
Co2 Co 0.1234 0.8722 0.6297 1
Co3 Co 0.1240 0.3743 0.1269 1
Co4 Co 0.1240 0.6235 0.8768 1
Co5 Co 0.3723 0.1248 0.1278 1
Co6 Co 0.3735 0.3755 0.3783 1
Co7 Co 0.3737 0.6236 0.6274 1
Co8 Co 0.3737 0.8726 0.8769 1
Co9 Co 0.6223 0.8738 0.1265 1
Co10 Co 0.6230 0.3746 0.6255 1
Co11 Co 0.6231 0.6241 0.3775 1
Co12 Co 0.6239 0.1263 0.8776 1
Co13 Co 0.8717 0.1254 0.6276 1
Co14 Co 0.8725 0.8745 0.3765 1
Co15 Co 0.8739 0.3746 0.8776 1
Co16 Co 0.8750 0.6232 0.1243 1
O1 O 0.1054 0.1100 0.6146 1
O2 O 0.1050 0.8829 0.3932 1
O3 O 0.1075 0.6103 0.1145 1
O4 O 0.1094 0.3878 0.8920 1
O5 O 0.1362 0.6413 0.6380 1
O6 O 0.1389 0.3578 0.3661 1
O7 O 0.1390 0.8642 0.8602 1
O8 O 0.1396 0.1353 0.1406 1
O9 O 0.3573 0.8603 0.6419 1
O10 O 0.3586 0.1377 0.3615 1
O11 O 0.3603 0.6386 0.8635 1
O12 O 0.3648 0.3586 0.1425 1
O13 O 0.3857 0.3853 0.6099 1
O14 O 0.3872 0.8892 0.1181 1
O15 O 0.3893 0.1129 0.8936 1
O16 O 0.3886 0.6088 0.3891 1
O17 O 0.6084 0.1101 0.1154 1
O18 O 0.6078 0.3904 0.3889 1
O19 O 0.6105 0.6097 0.6118 1
O20 O 0.6141 0.8905 0.8946 1
O21 O 0.6334 0.3561 0.8617 1
O22 O 0.6378 0.6408 0.1373 1
O23 O 0.6393 0.1336 0.6429 1
O24 O 0.6388 0.8664 0.3601 1
O25 O 0.8565 0.1359 0.8640 1
O26 O 0.8577 0.8611 0.1394 1
O27 O 0.8638 0.3564 0.6409 1
O28 O 0.8652 0.6418 0.3612 1
O29 O 0.8824 0.8902 0.6131 1
O30 O 0.8833 0.1075 0.3902 1
O31 O 0.8842 0.6106 0.8933 1
O32 O 0.8878 0.3913 0.1139 1
```

The 12 most intense peaks (2θ = 10–90°), in order of rising 2θ:
Position (°2θ), I (rel.)
19.1, 100.0
37.0, 46.1
38.7, 13.3
45.0, 51.2
49.3, 10.4
59.6, 18.1
65.5, 25.1
65.5, 5.0
68.9, 11.9
78.7, 4.9
82.9, 6.0
86.1, 4.4

***

# 2
Diffraction record for LiCo2O4. The X-ray powder pattern is calculated, not measured: it uses the GGA+U geometry in the Materials Project and copper Kα.
Kinematic intensities with the Lorentz-polarization factor, no thermal factor.

Structure:
Cell lengths 8.1972, 8.1972, 8.1972 Å; angles 90.00, 90.00, 90.00 degrees
Space group Fd-3m (No. 227, origin choice 2)
Inequivalent atoms, fractional coordinates:
Li 0.1250 0.1250 0.1250 [8 per cell]
Co 0.0000 0.0000 0.5000 [16 per cell]
O 0.0140 0.0140 0.7360 [32 per cell]

The 12 most intense peaks (2θ = 10–90°), in order of rising 2θ:
Position (°2θ), I (rel.)
18.7, 100.0
36.3, 46.4
38.0, 13.3
44.2, 52.1
48.4, 10.5
58.5, 20.0
64.3, 30.9
67.6, 14.0
76.2, 4.9
77.2, 7.4
81.3, 8.1
84.4, 7.4

***

# 3
Diffraction record for Li2CoO3. The X-ray powder pattern is calculated, not measured: it uses the GGA+U geometry in the Materials Project and copper Kα.
Kinematic intensities with the Lorentz-polarization factor, no thermal factor.

Structure:
```
data_Li2CoO3
_space_group_name_H-M_alt 'P -3 m 1'
_space_group_IT_number 164
_space_group_name_Hall '-P 3 2"'
_cell_length_a 2.8972
_cell_length_b 2.8972
_cell_length_c 14.8293
_cell_angle_alpha 90.00
_cell_angle_beta 90.00
_cell_angle_gamma 120.00
loop_
_atom_site_label
_atom_site_type_symbol
_atom_site_fract_x
_atom_site_fract_y
_atom_site_fract_z
_atom_site_occupancy
Li1 Li 0.0000 0.0000 0.0000 1
Li2 Li 0.0000 0.0000 0.5000 1
Li3 Li 0.3333 0.6667 0.3379 1
Co1 Co 0.3333 0.6667 0.8358 1
O1 O 0.0000 0.0000 0.2328 1
O2 O 0.3333 0.6667 0.0907 1
O3 O 0.3333 0.6667 0.5879 1
```

The 12 most intense peaks (2θ = 10–90°), in order of rising 2θ:
Position (°2θ), I (rel.)
11.9, 48.4
17.9, 97.8
24.0, 17.6
36.3, 49.5
37.9, 14.3
43.6, 100.0
47.5, 20.2
56.9, 14.4
62.3, 30.4
64.3, 25.7
67.4, 13.0
80.9, 17.4

***

# 4
Diffraction record for Li2CoO3. The X-ray powder pattern is calculated, not measured: it uses the GGA+U geometry in the Materials Project and copper Kα.
Kinematic intensities with the Lorentz-polarization factor, no thermal factor.

Structure:
```
data_Li2CoO3
_space_group_name_H-M_alt 'P n n m'
_space_group_IT_number 58
_space_group_name_Hall '-P 2 2n'
_cell_length_a 8.2041
_cell_length_b 9.6969
_cell_length_c 3.2905
_cell_angle_alpha 90.00
_cell_angle_beta 90.00
_cell_angle_gamma 90.00
loop_
_atom_site_label
_atom_site_type_symbol
_atom_site_fract_x
_atom_site_fract_y
_atom_site_fract_z
_atom_site_occupancy
Li1 Li 0.0922 0.1100 0.0000 1
Li2 Li 0.1444 0.7042 0.0000 1
Co1 Co 0.1322 0.4014 0.5000 1
O1 O 0.0983 0.5905 0.5000 1
O2 O 0.1179 0.2231 0.5000 1
O3 O 0.1592 0.9148 0.0000 1
```

The 12 most intense peaks (2θ = 10–90°), in order of rising 2θ:
Position (°2θ), I (rel.)
14.1, 95.4
21.3, 48.2
23.5, 30.6
28.6, 100.0
29.2, 40.3
30.7, 46.5
39.7, 14.5
44.1, 32.5
53.5, 22.2
55.0, 27.7
55.9, 14.5
73.0, 16.6

***

# 5
Diffraction record for LiCo2O4. The X-ray powder pattern is calculated, not measured: it uses the GGA+U geometry in the Materials Project and copper Kα.
Kinematic intensities with the Lorentz-polarization factor, no thermal factor.

Structure:
```
data_LiCo2O4
_space_group_name_H-M_alt 'P 43 2 2'
_space_group_IT_number 95
_space_group_name_Hall 'P 4cw 2c'
_cell_length_a 5.7016
_cell_length_b 5.7016
_cell_length_c 8.0962
_cell_angle_alpha 90.00
_cell_angle_beta 90.00
_cell_angle_gamma 90.00
loop_
_atom_site_label
_atom_site_type_symbol
_atom_site_fract_x
_atom_site_fract_y
_atom_site_fract_z
_atom_site_occupancy
Li1 Li 0.0000 0.2419 0.0000 1
Co1 Co 0.2449 0.5000 0.2500 1
Co2 Co 0.2552 0.2552 0.6250 1
O1 O 0.0135 0.2666 0.2605 1
O2 O 0.2643 0.4876 0.0152 1
```

The 12 most intense peaks (2θ = 10–90°), in order of rising 2θ:
Position (°2θ), I (rel.)
15.5, 42.2
24.7, 47.4
27.0, 22.7
31.3, 80.7
36.8, 55.1
37.0, 100.0
52.0, 12.3
55.8, 18.7
59.3, 13.4
59.5, 37.8
65.3, 46.6
65.5, 23.3